Record 1
Starting from the PBE geometry in Alexandria, the powder diffractogram of Sm2HoEr9 was calculated for Cu Ka.
Peak positions follow from Bragg's law for the DFT cell and can differ from measured ones.

Top 10 peaks for 10 to 90 degrees two-theta, low angle first:
Position (°2θ)  d/Å  I_rel  index
30.29  2.951  24  1 1 1
31.71  2.822  56  2 0 1
32.11  2.788  100  2 2 0
35.66  2.518  15  2 1 1
38.09  2.363  14  3 0 1
45.75  1.983  20  4 0 1
56.98  1.616  20  4 2 1
57.24  1.610  18  6 0 0
63.00  1.476  29  2 2 2
81.48  1.181  13  6 0 2

Crystal structure
Cell: 11.1514 11.1514 3.4781 Å, 90.00 90.00 120.00°
Space group P6/mmm (No. 191)
One atom of each set of equivalent atoms:
Sm (0.3333, 0.6667, 0.0000) [2 per cell]
Ho (0.0000, 0.0000, 0.0000) [1 per cell]
Er (0.0000, 0.5000, 0.0000) [3 per cell]
Er (0.1749, 0.3497, 0.5000) [6 per cell]

---

Record 2
Starting from the PBE geometry in Alexandria, the powder diffractogram of ThB3Ir6 was calculated for Cu Ka.
Peak positions follow from Bragg's law for the DFT cell and can differ from measured ones.

Top 10 peaks for 10 to 90 degrees two-theta, low angle first:
Position (°2θ)  d/Å  I_rel  index
29.64  3.014  20  1 0 -1
30.56  2.925  17  1 1 2
32.24  2.776  19  1 1 -1
33.61  2.667  20  0 0 2
35.81  2.508  18  0 1 2
37.82  2.379  100  2 2 1
37.95  2.371  37  0 2 0
38.91  2.314  28  1 2 2
41.49  2.176  18  0 1 -2
48.33  1.883  26  2 1 3

Crystal structure
Cell: 5.5031 5.5233 5.9876 Å, 70.06 64.57 60.49°
Space group P1 (No. 1)
One atom of each set of equivalent atoms:
Th (0.0000, 0.0000, 0.0000) [1 per cell]
B (0.0928, 0.3222, 0.5125) [1 per cell]
B (0.3634, 0.3076, 0.9572) [1 per cell]
B (0.6524, 0.7348, 0.9524) [1 per cell]
Ir (0.1083, 0.5883, 0.6888) [1 per cell]
Ir (0.3745, 0.9541, 0.3383) [1 per cell]
Ir (0.4174, 0.4710, 0.2173) [1 per cell]
Ir (0.5873, 0.0728, 0.6549) [1 per cell]
Ir (0.6245, 0.5408, 0.6953) [1 per cell]
Ir (0.9119, 0.4591, 0.2142) [1 per cell]

---

Record 3
Starting from the PBE geometry in Alexandria, the powder diffractogram of Mg7Ir2Pt2 was calculated for Cu Ka.
Peak positions follow from Bragg's law for the DFT cell and can differ from measured ones.

Top 10 peaks for 10 to 90 degrees two-theta, low angle first:
Position (°2θ)  d/Å  I_rel  index
22.31  3.985  100  0 2 1
24.76  3.595  38  0 0 2
32.18  2.781  52  2 0 1
35.16  2.552  17  2 2 0
37.57  2.394  23  0 4 0
40.65  2.220  12  1 3 2
42.16  2.143  30  0 2 3
43.49  2.081  47  2 2 2
45.52  1.993  12  0 4 2
50.28  1.814  25  2 4 1

Crystal structure
Cell: 6.0326 9.5762 7.1906 Å, 90.00 90.00 90.00°
Space group Cmmm (No. 65)
One atom of each set of equivalent atoms:
Mg (0.0000, 0.0000, 0.0000) [2 per cell]
Mg (0.0000, 0.5000, 0.2211) [4 per cell]
Mg (0.2500, 0.2500, 0.3084) [8 per cell]
Ir (0.2016, 0.0000, 0.5000) [4 per cell]
Pt (0.0000, 0.2734, 0.0000) [4 per cell]

---

Record 4
Starting from the PBE geometry in Alexandria, the powder diffractogram of USi2Os2Pt was calculated for Cu Ka.
Peak positions follow from Bragg's law for the DFT cell and can differ from measured ones.

Top 10 peaks for 10 to 90 degrees two-theta, low angle first:
Position (°2θ)  d/Å  I_rel  index
27.68  3.222  100  1 1 0
39.14  2.301  93  1 0 2
39.55  2.278  53  2 0 0
56.86  1.619  64  2 1 2
57.18  1.611  18  2 2 0
64.69  1.441  19  3 1 0
71.48  1.320  16  3 0 2
77.48  1.232  11  1 1 4
84.13  1.151  12  2 0 4
84.91  1.142  22  3 2 2

Crystal structure
Cell: 4.5569 4.5569 5.3330 Å, 90.00 90.00 90.00°
Space group P4/mmm (No. 123)
One atom of each set of equivalent atoms:
U (0.0000, 0.0000, 0.0000) [1 per cell]
Si (0.0000, 0.5000, 0.5000) [2 per cell]
Os (0.5000, 0.5000, 0.2352) [2 per cell]
Pt (0.0000, 0.0000, 0.5000) [1 per cell]

---

Record 5
Starting from the PBE geometry in Alexandria, the powder diffractogram of Ac7GaSn3 was calculated for Cu Ka.
Peak positions follow from Bragg's law for the DFT cell and can differ from measured ones.

Top 10 peaks for 10 to 90 degrees two-theta, low angle first:
Position (°2θ)  d/Å  I_rel  index
21.76  4.085  21  1 1 2
23.47  3.790  22  1 2 1
28.28  3.156  58  0 0 4
28.40  3.142  63  2 0 0
30.95  2.889  28  1 2 3
33.03  2.712  100  1 3 2
40.51  2.227  45  2 0 4
53.15  1.723  21  1 3 6
53.30  1.719  27  3 3 2
61.74  1.503  27  2 6 0

Crystal structure
Cell: 6.2843 10.2585 12.6222 Å, 90.00 90.00 90.00°
Space group Immm (No. 71)
One atom of each set of equivalent atoms:
Ac (0.0000, 0.0000, 0.0000) [2 per cell]
Ac (0.0000, 0.1763, 0.5000) [4 per cell]
Ac (0.0000, 0.3343, 0.2343) [8 per cell]
Ga (0.0000, 0.5000, 0.5000) [2 per cell]
Sn (0.0000, 0.0000, 0.2661) [4 per cell]
Sn (0.0000, 0.5000, 0.0000) [2 per cell]

---

Record 6
Starting from the PBE geometry in Alexandria, the powder diffractogram of Sc3SeO7 was calculated for Cu Ka.
Peak positions follow from Bragg's law for the DFT cell and can differ from measured ones.

Top 10 peaks for 10 to 90 degrees two-theta, low angle first:
Position (°2θ)  d/Å  I_rel  index
15.23  5.819  25  1 1 0
29.52  3.026  15  1 1 2
30.73  2.910  100  2 2 0
31.02  2.883  90  0 2 2
35.59  2.523  17  2 0 2
50.83  1.796  14  4 0 0
51.66  1.769  90  0 0 4
60.75  1.525  17  4 2 2
61.26  1.513  24  2 2 4
61.93  1.498  12  0 6 2

Crystal structure
Cell: 7.1851 9.9214 7.0858 Å, 90.00 90.00 90.00°
Space group C222_1 (No. 20)
One atom of each set of equivalent atoms:
Sc (0.0441, 0.0000, 0.0000) [4 per cell]
Sc (0.2333, 0.2664, 0.7560) [8 per cell]
Se (0.0080, 0.5000, 0.0000) [4 per cell]
O (0.0000, 0.1283, 0.2500) [4 per cell]
O (0.0000, 0.1455, 0.7500) [4 per cell]
O (0.0000, 0.4319, 0.7500) [4 per cell]
O (0.1847, 0.3712, 0.0374) [8 per cell]
O (0.2112, 0.3721, 0.4748) [8 per cell]

---

Record 7
Starting from the PBE geometry in Alexandria, the powder diffractogram of RbPr6Te8 was calculated for Cu Ka.
Peak positions follow from Bragg's law for the DFT cell and can differ from measured ones.

Top 10 peaks for 10 to 90 degrees two-theta, low angle first:
Position (°2θ)  d/Å  I_rel  index
21.01  4.229  26  0 1 1
25.28  3.523  40  3 0 0
25.63  3.476  40  0 2 1
29.58  3.020  100  3 -1 1
30.50  2.931  46  1 3 0
35.27  2.545  90  2 2 1
39.04  2.307  40  0 0 2
42.10  2.146  43  5 -2 1
50.33  1.813  22  3 1 2
64.99  1.435  33  8 -5 1

Crystal structure
Cell: 12.2028 12.2028 4.6148 Å, 90.00 90.00 120.00°
Space group P-3 (No. 147)
One atom of each set of equivalent atoms:
Rb (0.0000, 0.0000, 0.0000) [1 per cell]
Pr (0.1362, 0.6520, 0.2499) [6 per cell]
Te (0.0464, 0.3524, 0.2498) [6 per cell]
Te (0.3333, 0.6667, 0.7499) [2 per cell]

---

Record 8
Starting from the PBE geometry in Alexandria, the powder diffractogram of Ba2SrI6 was calculated for Cu Ka.
Peak positions follow from Bragg's law for the DFT cell and can differ from measured ones.

Top 10 peaks for 10 to 90 degrees two-theta, low angle first:
Position (°2θ)  d/Å  I_rel  index
18.57  4.779  23  1 1 3
21.47  4.139  16  0 0 6
30.54  2.927  100  2 0 6
35.98  2.496  13  3 1 3
43.79  2.067  12  4 0 0
54.29  1.690  37  2 2 12
63.54  1.464  8  4 0 12
72.25  1.308  10  6 2 0
88.25  1.107  6  4 2 18
88.45  1.105  6  6 4 6

Crystal structure
Cell: 8.2694 8.2694 24.8853 Å, 90.00 90.00 90.00°
Space group P-4b2 (No. 117)
One atom of each set of equivalent atoms:
Ba (0.0000, 0.0000, 0.1653) [4 per cell]
Ba (0.0000, 0.5000, 0.3348) [4 per cell]
Sr (0.0000, 0.0000, 0.5000) [2 per cell]
Sr (0.0000, 0.5000, 0.0000) [2 per cell]
I (0.2344, 0.2342, 0.4194) [8 per cell]
I (0.2480, 0.2482, 0.7501) [8 per cell]
I (0.2486, 0.7503, 0.9200) [8 per cell]